Diffraction record for LaTiNO2. The PXRD pattern is computed, not measured: it uses a structure optimized by DFT (GGA-PBE) and copper Kα.
No peak broadening, texture or thermal motion is included.

Atomic structure:
abc: 5.5931 5.5937 8.0048
angles: 90.04 90.04 90.39
Space group P1 (No. 1)
One atom of each set of equivalent atoms:
La1 0.0000 0.0000 0.0000 (multiplicity 1)
La2 0.9998 0.0038 0.4718 (multiplicity 1)
La3 0.5007 0.4976 0.0026 (multiplicity 1)
La4 0.5036 0.5007 0.4768 (multiplicity 1)
Ti1 0.0110 0.5041 0.2358 (multiplicity 1)
Ti2 0.4969 0.9902 0.2386 (multiplicity 1)
Ti3 0.5016 0.0032 0.7354 (multiplicity 1)
Ti4 0.9994 0.5007 0.7486 (multiplicity 1)
N1 0.1967 0.2071 0.2332 (multiplicity 1)
N2 0.2958 0.7101 0.2383 (multiplicity 1)
N3 0.7940 0.8110 0.2341 (multiplicity 1)
N4 0.9936 0.5019 0.9796 (multiplicity 1)
O1 0.2059 0.8045 0.7283 (multiplicity 1)
O2 0.3026 0.3028 0.7306 (multiplicity 1)
O3 0.5053 0.0145 0.9783 (multiplicity 1)
O4 0.5056 0.0136 0.4892 (multiplicity 1)
O5 0.6871 0.3139 0.2381 (multiplicity 1)
O6 0.6961 0.7081 0.7311 (multiplicity 1)
O7 0.7974 0.2017 0.7305 (multiplicity 1)
O8 0.9875 0.4974 0.4869 (multiplicity 1)

Peak list (10 most intense, 2θ = 5–70°, sorted by position)
31.78°, I = 100
31.88°, I = 33
32.00°, I = 75
39.30°, I = 45
45.32°, I = 22
45.73°, I = 21
46.05°, I = 21
56.55°, I = 27
56.81°, I = 28
57.02°, I = 28